Entry 1:
The following is a computed powder diffraction line list of Hf3As4Pb4. It was derived from a crystal structure in OQMD, relaxed with GGA-PBE, using λ = 1.5418 Å (Cu Kα).
Peak positions follow from Bragg's law for the DFT cell and can differ from measured ones.

The 12 most intense peaks (2θ = 10–90°), low angle first:
2theta	intensity
25.88	537
26.73	442
28.39	431
28.85	403
29.34	480
32.03	673
33.50	518
33.72	844
34.07	1000
37.21	576
37.59	630
49.34	837

Crystal structure
```
data_Hf3As4Pb4
_chemical_formula_sum 'Hf3 As4 Pb4'
_symmetry_space_group_name_H-M 'P 1'
_symmetry_Int_Tables_number 1
_cell_length_a 7.813
_cell_length_b 3.694
_cell_length_c 9.500
_cell_angle_alpha 90.00
_cell_angle_beta 96.96
_cell_angle_gamma 90.00
loop_
_symmetry_equiv_pos_as_xyz
'x,y,z'
loop_
_atom_site_label
_atom_site_fract_x
_atom_site_fract_y
_atom_site_fract_z
_atom_site_occupancy
Hf1 0.000 0.000 0.000 1
Hf2 0.212 0.500 0.474 1
Hf3 0.494 0.000 0.932 1
As1 0.123 0.000 0.274 1
As2 0.250 0.500 0.964 1
As3 0.399 0.000 0.643 1
As4 0.748 0.500 0.018 1
Pb1 0.045 0.000 0.692 1
Pb2 0.469 0.500 0.239 1
Pb3 0.700 0.500 0.696 1
Pb4 0.805 0.000 0.388 1
```

---

Entry 2:
The following is a computed powder diffraction line list of HfZr2As4Pd4. It was derived from a crystal structure in OQMD, relaxed with GGA-PBE, using λ = 1.5418 Å (Cu Kα).
Peak positions follow from Bragg's law for the DFT cell and can differ from measured ones.

The 12 most intense peaks (2θ = 10–90°), low angle first:
2theta	intensity
11.43	393
17.57	256
35.15	527
35.30	393
35.45	1000
37.30	884
37.46	778
41.85	839
44.04	255
44.23	284
46.09	674
68.50	292

Crystal structure
```
data_HfZr2As4Pd4
_chemical_formula_sum 'Hf1 Zr2 As4 Pd4'
_symmetry_space_group_name_H-M 'P 1'
_symmetry_Int_Tables_number 1
_cell_length_a 6.611
_cell_length_b 3.939
_cell_length_c 7.742
_cell_angle_alpha 90.00
_cell_angle_beta 90.47
_cell_angle_gamma 90.00
loop_
_symmetry_equiv_pos_as_xyz
'x,y,z'
loop_
_atom_site_label
_atom_site_fract_x
_atom_site_fract_y
_atom_site_fract_z
_atom_site_occupancy
Hf1 0.000 0.000 0.000 1
Zr1 0.495 0.000 0.132 1
Zr2 0.572 0.500 0.507 1
As1 0.270 0.500 0.935 1
As2 0.286 0.000 0.446 1
As3 0.786 0.500 0.192 1
As4 0.816 0.000 0.695 1
Pd1 0.183 0.500 0.259 1
Pd2 0.402 0.000 0.757 1
Pd3 0.679 0.500 0.877 1
Pd4 0.892 0.000 0.381 1
```

---

Entry 3:
The following is a computed powder diffraction line list of HfZr2As4Pd4. It was derived from a crystal structure in OQMD, relaxed with GGA-PBE, using λ = 1.5418 Å (Cu Kα).
Peak positions follow from Bragg's law for the DFT cell and can differ from measured ones.

The 12 most intense peaks (2θ = 10–90°), low angle first:
2theta	intensity
11.44	328
13.37	239
28.75	200
35.20	607
35.40	698
37.33	1000
41.86	570
42.70	159
44.19	250
44.43	163
46.03	476
47.54	186

Crystal structure
```
data_HfZr2As4Pd4
_chemical_formula_sum 'Hf1 Zr2 As4 Pd4'
_symmetry_space_group_name_H-M 'P 1'
_symmetry_Int_Tables_number 1
_cell_length_a 6.621
_cell_length_b 3.944
_cell_length_c 7.736
_cell_angle_alpha 90.00
_cell_angle_beta 90.28
_cell_angle_gamma 90.00
loop_
_symmetry_equiv_pos_as_xyz
'x,y,z'
loop_
_atom_site_label
_atom_site_fract_x
_atom_site_fract_y
_atom_site_fract_z
_atom_site_occupancy
Hf1 0.000 0.000 0.000 1
Zr1 0.076 0.500 0.375 1
Zr2 0.506 0.000 0.868 1
As1 0.288 0.500 0.061 1
As2 0.318 0.000 0.563 1
As3 0.781 0.500 0.805 1
As4 0.792 0.000 0.314 1
Pd1 0.180 0.500 0.747 1
Pd2 0.396 0.000 0.249 1
Pd3 0.694 0.500 0.128 1
Pd4 0.909 0.000 0.626 1
```

---

Entry 4:
The following is a computed powder diffraction line list of Pr4Hf3As4. It was derived from a crystal structure in OQMD, relaxed with GGA-PBE, using λ = 1.5418 Å (Cu Kα).
Peak positions follow from Bragg's law for the DFT cell and can differ from measured ones.

The 12 most intense peaks (2θ = 10–90°), low angle first:
2theta	intensity
27.34	354
28.47	586
31.21	452
31.65	296
33.81	741
34.14	680
36.00	500
36.39	1000
36.94	240
39.71	214
47.77	412
54.78	232

Crystal structure
```
data_Pr4Hf3As4
_chemical_formula_sum 'Pr4 Hf3 As4'
_symmetry_space_group_name_H-M 'P 1'
_symmetry_Int_Tables_number 1
_cell_length_a 7.460
_cell_length_b 3.808
_cell_length_c 9.826
_cell_angle_alpha 90.00
_cell_angle_beta 98.09
_cell_angle_gamma 90.00
loop_
_symmetry_equiv_pos_as_xyz
'x,y,z'
loop_
_atom_site_label
_atom_site_fract_x
_atom_site_fract_y
_atom_site_fract_z
_atom_site_occupancy
Pr1 0.000 0.000 0.000 1
Pr2 0.049 0.500 0.413 1
Pr3 0.415 0.000 0.585 1
Pr4 0.670 0.500 0.119 1
Hf1 0.296 0.500 0.838 1
Hf2 0.433 0.000 0.290 1
Hf3 0.782 0.500 0.726 1
As1 0.051 0.000 0.691 1
As2 0.266 0.500 0.125 1
As3 0.597 0.000 0.872 1
As4 0.653 0.500 0.447 1
```

---

Entry 5:
The following is a computed powder diffraction line list of Hf2ZrAs4Pt4. It was derived from a crystal structure in OQMD, relaxed with GGA-PBE, using λ = 1.5418 Å (Cu Kα).
Peak positions follow from Bragg's law for the DFT cell and can differ from measured ones.

The 12 most intense peaks (2θ = 10–90°), low angle first:
2theta	intensity
17.62	230
17.74	249
28.76	291
35.21	379
35.40	1000
37.29	363
37.44	366
41.99	621
42.59	191
42.79	259
44.54	150
45.98	438

Crystal structure
```
data_Hf2ZrAs4Pt4
_chemical_formula_sum 'Hf2 Zr1 As4 Pt4'
_symmetry_space_group_name_H-M 'P 1'
_symmetry_Int_Tables_number 1
_cell_length_a 6.613
_cell_length_b 3.947
_cell_length_c 7.700
_cell_angle_alpha 90.00
_cell_angle_beta 90.40
_cell_angle_gamma 90.00
loop_
_symmetry_equiv_pos_as_xyz
'x,y,z'
loop_
_atom_site_label
_atom_site_fract_x
_atom_site_fract_y
_atom_site_fract_z
_atom_site_occupancy
Hf1 0.000 0.000 0.000 1
Hf2 0.436 0.500 0.497 1
Zr1 0.928 0.500 0.626 1
As1 0.216 0.000 0.683 1
As2 0.261 0.500 0.190 1
As3 0.697 0.000 0.418 1
As4 0.708 0.500 0.944 1
Pt1 0.116 0.000 0.365 1
Pt2 0.309 0.500 0.877 1
Pt3 0.623 0.000 0.748 1
Pt4 0.840 0.500 0.248 1
```

---

Entry 6:
The following is a computed powder diffraction line list of Hf3Sb4As4. It was derived from a crystal structure in OQMD, relaxed with GGA-PBE, using λ = 1.5418 Å (Cu Kα).
Peak positions follow from Bragg's law for the DFT cell and can differ from measured ones.

The 12 most intense peaks (2θ = 10–90°), low angle first:
2theta	intensity
19.00	229
29.37	164
32.36	188
32.91	205
34.78	1000
35.54	173
36.27	409
38.03	634
39.57	209
47.01	152
50.09	316
63.41	159

Crystal structure
```
data_Hf3Sb4As4
_chemical_formula_sum 'Hf3 Sb4 As4'
_symmetry_space_group_name_H-M 'P 1'
_symmetry_Int_Tables_number 1
_cell_length_a 7.337
_cell_length_b 3.641
_cell_length_c 9.376
_cell_angle_alpha 90.00
_cell_angle_beta 94.90
_cell_angle_gamma 90.00
loop_
_symmetry_equiv_pos_as_xyz
'x,y,z'
loop_
_atom_site_label
_atom_site_fract_x
_atom_site_fract_y
_atom_site_fract_z
_atom_site_occupancy
Hf1 0.000 0.000 0.000 1
Hf2 0.246 0.500 0.478 1
Hf3 0.752 0.500 0.527 1
Sb1 0.046 0.000 0.676 1
Sb2 0.332 0.500 0.926 1
Sb3 0.500 0.000 0.335 1
Sb4 0.694 0.500 0.105 1
As1 0.165 0.500 0.184 1
As2 0.500 0.000 0.631 1
As3 0.808 0.500 0.827 1
As4 0.971 0.000 0.364 1
```

---

Entry 7:
The following is a computed powder diffraction line list of HfZr3Sb2As2. It was derived from a crystal structure in OQMD, relaxed with GGA-PBE, using λ = 1.5418 Å (Cu Kα).
Peak positions follow from Bragg's law for the DFT cell and can differ from measured ones.

The 12 most intense peaks (2θ = 10–90°), low angle first:
2theta	intensity
26.19	122
29.46	244
33.13	1000
37.74	139
43.03	147
46.22	443
48.87	186
58.04	196
74.57	137
77.21	168
85.65	74
87.61	73

Crystal structure
```
data_HfZr3Sb2As2
_chemical_formula_sum 'Hf1 Zr3 Sb2 As2'
_symmetry_space_group_name_H-M 'P 1'
_symmetry_Int_Tables_number 1
_cell_length_a 3.929
_cell_length_b 3.929
_cell_length_c 13.365
_cell_angle_alpha 90.00
_cell_angle_beta 90.00
_cell_angle_gamma 120.00
loop_
_symmetry_equiv_pos_as_xyz
'x,y,z'
loop_
_atom_site_label
_atom_site_fract_x
_atom_site_fract_y
_atom_site_fract_z
_atom_site_occupancy
Hf1 0.000 0.000 0.000 1
Zr1 0.000 0.000 0.716 1
Zr2 0.333 0.667 0.214 1
Zr3 0.333 0.667 0.500 1
Sb1 0.000 0.000 0.357 1
Sb2 0.333 0.667 0.860 1
As1 0.667 0.333 0.105 1
As2 0.667 0.333 0.608 1
```

---

Entry 8:
The following is a computed powder diffraction line list of HfSc3As4. It was derived from a crystal structure in OQMD, relaxed with GGA-PBE, using λ = 1.5418 Å (Cu Kα).
Peak positions follow from Bragg's law for the DFT cell and can differ from measured ones.

The 12 most intense peaks (2θ = 10–90°), low angle first:
2theta	intensity
14.08	217
16.29	77
23.09	70
27.16	141
32.90	1000
35.95	67
47.21	711
58.74	242
68.96	74
78.54	205
78.63	102
87.82	197

Crystal structure
```
data_HfSc3As4
_chemical_formula_sum 'Hf1 Sc3 As4'
_symmetry_space_group_name_H-M 'P 1'
_symmetry_Int_Tables_number 1
_cell_length_a 6.667
_cell_length_b 6.667
_cell_length_c 3.851
_cell_angle_alpha 90.00
_cell_angle_beta 90.00
_cell_angle_gamma 109.38
loop_
_symmetry_equiv_pos_as_xyz
'x,y,z'
loop_
_atom_site_label
_atom_site_fract_x
_atom_site_fract_y
_atom_site_fract_z
_atom_site_occupancy
Hf1 0.000 0.000 0.000 1
Sc1 0.000 0.500 0.500 1
Sc2 0.500 0.000 0.500 1
Sc3 0.500 0.500 0.000 1
As1 0.249 0.249 0.500 1
As2 0.249 0.751 0.000 1
As3 0.751 0.249 0.000 1
As4 0.751 0.751 0.500 1
```